No. 1
Starting from a GGA-PBE-relaxed structure, the XRD peak list of Li7PaO6 was computed for a wavelength of 1.5418 Å.

Atomic structure:
```
data_Li7PaO6
_symmetry_space_group_name_H-M 'R 3'
_symmetry_Int_Tables_number 146
_symmetry_space_group_name_Hall 'R 3'
_cell_length_a 5.7272
_cell_length_b 5.7272
_cell_length_c 15.8323
_cell_angle_alpha 90.00
_cell_angle_beta 90.00
_cell_angle_gamma 120.00
loop_
_atom_site_label
_atom_site_type_symbol
_atom_site_fract_x
_atom_site_fract_y
_atom_site_fract_z
Li1 Li 0.0000 0.0000 0.0000
Li2 Li 0.0532 0.3347 0.8586
Li3 Li 0.0596 0.6810 0.0995
Pa1 Pa 0.0000 0.0000 0.6439
O1 O 0.0089 0.3781 0.3968
O2 O 0.0115 0.7096 0.5580
```

Main lines, by angle (2θ = 5–70°):
two_theta	intensity
16.80	33
18.75	100
21.14	77
28.86	31
35.67	49
46.82	28


No. 2
Starting from a GGA-PBE-relaxed structure, the XRD peak list of Li2PaO4 was computed for a wavelength of 1.5418 Å.

Atomic structure:
```
data_Li2PaO4
_symmetry_space_group_name_H-M 'C m m m'
_symmetry_Int_Tables_number 65
_symmetry_space_group_name_Hall '-C 2 2'
_cell_length_a 4.2127
_cell_length_b 10.1870
_cell_length_c 3.6724
_cell_angle_alpha 90.00
_cell_angle_beta 90.00
_cell_angle_gamma 90.00
loop_
_atom_site_label
_atom_site_type_symbol
_atom_site_fract_x
_atom_site_fract_y
_atom_site_fract_z
Li1 Li 0.0000 0.1760 0.0000
Pa1 Pa 0.0000 0.5000 0.5000
O1 O 0.0000 0.1039 0.5000
O2 O 0.0000 0.3721 0.0000
```

Main lines, by angle (2θ = 5–70°):
two_theta	intensity
17.41	100
22.84	97
24.24	41
30.00	62
33.55	51
42.11	54


No. 3
Starting from a GGA-PBE-relaxed structure, the XRD peak list of Li12PaO7 was computed for a wavelength of 1.5418 Å.

Atomic structure:
```
data_Li12PaO7
_symmetry_space_group_name_H-M 'R -3'
_symmetry_Int_Tables_number 148
_symmetry_space_group_name_Hall '-R 3'
_cell_length_a 11.0641
_cell_length_b 11.0641
_cell_length_c 7.6872
_cell_angle_alpha 90.00
_cell_angle_beta 90.00
_cell_angle_gamma 120.00
loop_
_atom_site_label
_atom_site_type_symbol
_atom_site_fract_x
_atom_site_fract_y
_atom_site_fract_z
Li1 Li 0.0177 0.5752 0.1292
Li2 Li 0.0528 0.1490 0.8380
Pa1 Pa 0.0000 0.0000 0.5000
O1 O 0.0000 0.0000 0.0000
O2 O 0.0568 0.1808 0.3327
```

Main lines, by angle (2θ = 5–70°):
two_theta	intensity
14.77	96
16.02	100
27.22	37
29.80	22
34.01	22
41.30	29